Record 1
Structure and computed X-ray diffraction stick pattern of Al3VRu4 (a structure optimized by DFT (PBE); Cu Kα (λ = 1.5418 Å)).
Lines closer than 0.1° are merged.

Atomic structure:
abc: 6.7162 6.7162 6.7162
angles: 143.13 143.13 53.13
Sites, in units of the cell vectors:
Al  0.0000  0.0000  0.0000
Al  0.2493  0.2493  0.0000
Al  0.7507  0.7507  0.0000
V  0.5000  0.5000  0.0000
Ru  0.1249  0.6249  0.5000
Ru  0.3751  0.8751  0.5000
Ru  0.6249  0.1249  0.5000
Ru  0.8751  0.3751  0.5000

Most intense lines, 2θ = 5–70°, in order of falling intensity:
two_theta, I/Imax
42.57, 100
29.74, 36
61.77, 16
52.79, 10
22.20, 1

Record 2
Structure and computed X-ray diffraction stick pattern of AlV6Ru (a structure optimized by DFT (PBE); Cu Kα (λ = 1.5418 Å)).
Lines closer than 0.1° are merged.

Atomic structure:
abc: 5.4983 5.4983 4.5539
angles: 95.58 95.58 124.48
Sites, in units of the cell vectors:
Al  0.0000  0.0000  0.0000
V  0.3717  0.1409  0.5092
V  0.4973  0.5027  0.0000
V  0.5033  0.0136  0.0072
V  0.8591  0.6283  0.4908
V  0.8601  0.1399  0.5000
V  0.9864  0.4967  0.9928
Ru  0.3636  0.6364  0.5000

Most intense lines, 2θ = 5–70°, in order of falling intensity:
two_theta, I/Imax
40.51, 100
42.33, 90
41.85, 56
49.02, 34
19.94, 27
52.44, 23
68.99, 12
69.24, 11
64.43, 11
18.23, 7
69.93, 7
27.14, 6

Record 3
Structure and computed X-ray diffraction stick pattern of Al3V12Ru (a structure optimized by DFT (PBE); Cu Kα (λ = 1.5418 Å)).
Lines closer than 0.1° are merged.

Atomic structure:
abc: 4.7870 4.7942 9.6147
angles: 90.00 90.00 90.00
Sites, in units of the cell vectors:
Al  0.0000  0.0000  0.0000
Al  0.5000  0.5000  0.2494
Al  0.5000  0.5000  0.7506
V  0.0000  0.2462  0.2543
V  0.0000  0.2462  0.7457
V  0.0000  0.7538  0.2543
V  0.0000  0.7538  0.7457
V  0.2484  0.5000  0.5000
V  0.2566  0.5000  0.0000
V  0.5000  0.0000  0.1297
V  0.5000  0.0000  0.3792
V  0.5000  0.0000  0.6208
V  0.5000  0.0000  0.8703
V  0.7434  0.5000  0.0000
V  0.7516  0.5000  0.5000
Ru  0.0000  0.0000  0.5000

Most intense lines, 2θ = 5–70°, in order of falling intensity:
two_theta, I/Imax
42.09, 100
46.35, 81
42.18, 80
46.42, 39
37.55, 38
9.20, 26
37.41, 19
20.72, 16
18.50, 14
67.67, 12
27.91, 7
38.72, 5

Record 4
Structure and computed X-ray diffraction stick pattern of Al6ZnRu5 (a structure optimized by DFT (PBE); Cu Kα (λ = 1.5418 Å)).
Lines closer than 0.1° are merged.

Atomic structure:
abc: 7.3195 7.3195 7.3195
angles: 146.37 130.03 61.59
Sites, in units of the cell vectors:
Al  0.0620  0.3261  0.7359
Al  0.2217  0.0000  0.2217
Al  0.4098  0.6739  0.7359
Al  0.5902  0.3261  0.2641
Al  0.7783  0.0000  0.7783
Al  0.9380  0.6739  0.2641
Zn  0.5000  0.5000  0.0000
Ru  0.0000  0.5000  0.5000
Ru  0.1704  0.1704  0.0000
Ru  0.3504  0.8504  0.5000
Ru  0.6496  0.1496  0.5000
Ru  0.8296  0.8296  0.0000

Most intense lines, 2θ = 5–70°, in order of falling intensity:
two_theta, I/Imax
42.12, 100
29.99, 41
42.70, 25
28.88, 24
43.16, 21
62.34, 14
52.37, 9
59.83, 9
68.37, 8
52.77, 7
38.65, 4
65.07, 2

Record 5
Structure and computed X-ray diffraction stick pattern of Al5ZnRu6 (a structure optimized by DFT (PBE); Cu Kα (λ = 1.5418 Å)).
Lines closer than 0.1° are merged.

Atomic structure:
abc: 7.3776 7.3776 7.3776
angles: 146.48 131.93 59.87
Sites, in units of the cell vectors:
Al  0.0000  0.0000  0.0000
Al  0.1672  0.6672  0.5000
Al  0.3334  0.3334  0.0000
Al  0.6666  0.6666  0.0000
Al  0.8328  0.3328  0.5000
Zn  0.5000  0.0000  0.5000
Ru  0.0819  0.8330  0.2489
Ru  0.2484  0.5000  0.7484
Ru  0.4158  0.1670  0.2489
Ru  0.5842  0.8330  0.7511
Ru  0.7516  0.5000  0.2516
Ru  0.9181  0.1670  0.7511

Most intense lines, 2θ = 5–70°, in order of falling intensity:
two_theta, I/Imax
42.49, 100
29.69, 34
61.60, 11
52.69, 9
69.85, 6
69.95, 6
61.74, 5
16.30, 1
25.64, 1
13.85, 1
29.27, 1
22.02, 1

Record 6
Structure and computed X-ray diffraction stick pattern of ZrAl4Ru5 (a structure optimized by DFT (PBE); Cu Kα (λ = 1.5418 Å)).
Lines closer than 0.1° are merged.

Atomic structure:
abc: 3.0893 3.0893 15.1202
angles: 90.00 90.00 90.00
Sites, in units of the cell vectors:
Zr  0.0000  0.0000  0.0000
Al  0.0000  0.0000  0.2093
Al  0.0000  0.0000  0.4026
Al  0.0000  0.0000  0.5974
Al  0.0000  0.0000  0.7907
Ru  0.5000  0.5000  0.1106
Ru  0.5000  0.5000  0.3050
Ru  0.5000  0.5000  0.5000
Ru  0.5000  0.5000  0.6950
Ru  0.5000  0.5000  0.8894

Most intense lines, 2θ = 5–70°, in order of falling intensity:
two_theta, I/Imax
41.80, 100
41.33, 53
28.90, 27
59.88, 17
29.53, 15
5.85, 10
51.62, 10
61.31, 7
68.17, 5
37.60, 5
67.84, 5
69.16, 4